For KMg2AgBr6, a DFT-relaxed cell (GGA-PBE, Alexandria) gives the computed PXRD pattern in this record (Cu Kα (weighted mean of Kα1 and Kα2)).
Lines closer than 0.1° are merged.

Structure:
a b c (Å): 14.404 14.022 7.834
angles (deg): 90.00 110.36 90.00
Space group C2/c (No. 15)
Asymmetric unit:
K: 0.000 0.116 0.250 [4 per cell]
Mg: 0.190 0.424 0.203 [8 per cell]
Ag: 0.000 0.226 0.750 [4 per cell]
Br: 0.125 0.076 0.679 [8 per cell]
Br: 0.125 0.262 0.079 [8 per cell]
Br: 0.128 0.442 0.472 [8 per cell]

Top 10 peaks for 10° ≤ 2θ ≤ 80°, by angle:
2θ = 13.14°, I = 39.7
2θ = 17.49°, I = 43.6
2θ = 20.24°, I = 21.9
2θ = 22.27°, I = 45.3
2θ = 24.67°, I = 28.4
2θ = 26.40°, I = 26.6
2θ = 27.14°, I = 100.0
2θ = 28.03°, I = 43.2
2θ = 38.52°, I = 24.7
2θ = 44.03°, I = 37.9